Structure and simulated powder diffraction line list of Sr2NdAs3Rh4 (the GGA-PBE geometry in Alexandria; Cu Kα (weighted mean of Kα1 and Kα2)).
Neutral-atom scattering factors, no anomalous dispersion.

The 10 most intense peaks (10 to 80 degrees two-theta), sorted by position:
2θ (°)	I_rel
31.60	29
33.65	100
38.10	11
42.38	52
43.81	31
45.26	18
53.81	15
61.49	17
63.74	13
71.96	21

Cell and atoms:
a b c (Å): 4.2651 4.2651 11.3471
angles (deg): 90.00 90.00 90.00
Positions (direct):
Sr 0.0000 0.5000 0.2299
Sr 0.5000 0.0000 0.7701
Nd 0.0000 0.0000 0.5000
As 0.0000 0.5000 0.8770
As 0.5000 0.0000 0.1230
As 0.5000 0.5000 0.5000
Rh 0.0000 0.0000 0.0000
Rh 0.0000 0.5000 0.6615
Rh 0.5000 0.0000 0.3385
Rh 0.5000 0.5000 0.0000

Structure and simulated powder diffraction line list of V2N3 (the GGA-PBE geometry in Alexandria; Cu Kα (weighted mean of Kα1 and Kα2)).
Neutral-atom scattering factors, no anomalous dispersion.

The 10 most intense peaks (10 to 80 degrees two-theta), sorted by position:
2θ (°)	I_rel
14.17	18
28.55	20
39.61	100
43.42	6
47.22	48
58.19	25
66.27	22
71.68	15
73.69	8
76.12	5

Cell and atoms:
a b c (Å): 2.8208 2.8208 6.2525
angles (deg): 90.00 90.00 120.00
Positions (direct):
V 0.3333 0.6667 0.1983
V 0.6667 0.3333 0.8017
N 0.0000 0.0000 0.0000
N 0.0000 0.0000 0.3930
N 0.0000 0.0000 0.6070

Structure and simulated powder diffraction line list of Pm2TmTl2Ag2 (the GGA-PBE geometry in Alexandria; Cu Kα (weighted mean of Kα1 and Kα2)).
Neutral-atom scattering factors, no anomalous dispersion.

The 10 most intense peaks (10 to 80 degrees two-theta), sorted by position:
2θ (°)	I_rel
19.38	12
31.10	34
33.63	100
36.84	97
41.98	14
50.73	31
63.51	21
64.33	31
66.37	17
78.40	11

Cell and atoms:
a b c (Å): 9.5823 9.5823 9.5823
angles (deg): 29.50 29.50 29.50
Positions (direct):
Pm 0.1241 0.1241 0.1241
Pm 0.8759 0.8759 0.8759
Tm 0.0000 0.0000 0.0000
Tl 0.2619 0.2619 0.2619
Tl 0.7381 0.7381 0.7381
Ag 0.3873 0.3873 0.3873
Ag 0.6127 0.6127 0.6127

Structure and simulated powder diffraction line list of LiAgF4 (the GGA-PBE geometry in Alexandria; Cu Kα (weighted mean of Kα1 and Kα2)).
Neutral-atom scattering factors, no anomalous dispersion.

The 10 most intense peaks (10 to 80 degrees two-theta), sorted by position:
2θ (°)	I_rel
17.59	79
23.28	96
28.52	25
29.33	100
33.71	17
41.51	17
42.98	32
51.02	18
51.13	36
52.51	18

Cell and atoms:
a b c (Å): 5.0426 4.8232 6.2590
angles (deg): 90.00 90.00 90.00
Positions (direct):
Li 0.0000 0.0000 0.0000
Li 0.0000 0.5000 0.5000
Ag 0.5000 0.0000 0.3057
Ag 0.5000 0.5000 0.8057
F 0.1711 0.2302 0.2870
F 0.1711 0.2698 0.7870
F 0.3288 0.7365 0.5478
F 0.3288 0.7635 0.0478
F 0.6712 0.2365 0.0478
F 0.6712 0.2635 0.5478
F 0.8289 0.7302 0.7870
F 0.8289 0.7698 0.2870

Structure and simulated powder diffraction line list of Ho3MgPb4 (the GGA-PBE geometry in Alexandria; Cu Kα (weighted mean of Kα1 and Kα2)).
Neutral-atom scattering factors, no anomalous dispersion.

The 10 most intense peaks (10 to 80 degrees two-theta), sorted by position:
2θ (°)	I_rel
31.91	96
32.71	100
34.88	53
38.73	56
53.10	45
60.69	15
61.18	16
65.39	17
66.77	30
68.53	16

Cell and atoms:
a b c (Å): 10.2878 6.6902 6.4666
angles (deg): 90.00 90.00 90.00
Positions (direct):
Ho 0.0000 0.0311 0.0000
Ho 0.2446 0.7154 0.7618
Ho 0.2554 0.2846 0.2618
Ho 0.5000 0.9689 0.5000
Ho 0.7446 0.2846 0.2618
Ho 0.7554 0.7154 0.7618
Mg 0.0000 0.5247 0.0386
Mg 0.5000 0.4753 0.5386
Pb 0.0000 0.4846 0.5278
Pb 0.0000 0.9947 0.5046
Pb 0.2420 0.7826 0.2569
Pb 0.2580 0.2174 0.7569
Pb 0.5000 0.0053 0.0046
Pb 0.5000 0.5154 0.0278
Pb 0.7420 0.2174 0.7569
Pb 0.7580 0.7826 0.2569

Structure and simulated powder diffraction line list of Cd2GaHg6 (the GGA-PBE geometry in Alexandria; Cu Kα (weighted mean of Kα1 and Kα2)).
Neutral-atom scattering factors, no anomalous dispersion.

The 10 most intense peaks (10 to 80 degrees two-theta), sorted by position:
2θ (°)	I_rel
28.62	24
30.12	61
33.65	31
33.77	43
35.97	37
36.32	61
36.55	100
37.57	32
44.57	24
56.83	19

Cell and atoms:
a b c (Å): 7.3639 7.3639 12.0798
angles (deg): 124.15 124.15 25.42
Positions (direct):
Cd 0.1711 0.1711 0.2792
Cd 0.8289 0.8289 0.7208
Ga 0.5000 0.5000 0.0000
Hg 0.1136 0.1136 0.5153
Hg 0.2589 0.2589 0.8885
Hg 0.4658 0.4658 0.2328
Hg 0.5342 0.5342 0.7672
Hg 0.7411 0.7411 0.1115
Hg 0.8864 0.8864 0.4847

Structure and simulated powder diffraction line list of HoCd11Ni (the GGA-PBE geometry in Alexandria; Cu Kα (weighted mean of Kα1 and Kα2)).
Neutral-atom scattering factors, no anomalous dispersion.

The 10 most intense peaks (10 to 80 degrees two-theta), sorted by position:
2θ (°)	I_rel
31.12	30
31.32	41
31.48	26
35.98	65
36.10	77
36.26	100
36.52	69
40.31	22
40.72	70
58.97	22

Cell and atoms:
a b c (Å): 7.6347 7.6347 7.5182
angles (deg): 97.89 97.89 136.29
Positions (direct):
Ho 0.0000 0.0000 0.0000
Cd 0.0000 0.0000 0.5000
Cd 0.0000 0.5000 0.0000
Cd 0.0246 0.3598 0.3582
Cd 0.3062 0.5100 0.7842
Cd 0.3598 0.0246 0.3582
Cd 0.4900 0.6938 0.2158
Cd 0.5000 0.0000 0.0000
Cd 0.5100 0.3062 0.7842
Cd 0.6402 0.9754 0.6418
Cd 0.6938 0.4900 0.2158
Cd 0.9754 0.6402 0.6418
Ni 0.5000 0.5000 0.5000

Structure and simulated powder diffraction line list of NaCd7Hg12 (the GGA-PBE geometry in Alexandria; Cu Kα (weighted mean of Kα1 and Kα2)).
Neutral-atom scattering factors, no anomalous dispersion.

The 10 most intense peaks (10 to 80 degrees two-theta), sorted by position:
2θ (°)	I_rel
19.95	78
25.84	89
30.68	96
32.85	53
34.91	29
36.86	100
40.53	88
48.69	78
63.88	52
67.65	39

Cell and atoms:
a b c (Å): 9.4434 9.4434 9.4434
angles (deg): 109.47 109.47 109.47
Positions (direct):
Na 0.0000 0.0000 0.0000
Cd 0.0000 0.0000 0.5000
Cd 0.0000 0.5000 0.0000
Cd 0.0000 0.5000 0.5000
Cd 0.5000 0.0000 0.0000
Cd 0.5000 0.0000 0.5000
Cd 0.5000 0.5000 0.0000
Cd 0.5000 0.5000 0.5000
Hg 0.1209 0.8469 0.2740
Hg 0.1531 0.2740 0.4271
Hg 0.1531 0.7260 0.8791
Hg 0.2740 0.1209 0.8469
Hg 0.2740 0.4271 0.1531
Hg 0.4271 0.1531 0.2740
Hg 0.5729 0.8469 0.7260
Hg 0.7260 0.5729 0.8469
Hg 0.7260 0.8791 0.1531
Hg 0.8469 0.2740 0.1209
Hg 0.8469 0.7260 0.5729
Hg 0.8791 0.1531 0.7260